(1)
# InAg3C6N6
Theoretical powder X-ray diffraction pattern, a wavelength of 1.5418 Å. Input: DFT lattice parameters and positions (PBE).
Kinematic intensities with the Lorentz-polarization factor, no thermal factor.

Top 6 peaks for 2θ from 10° to 90°, by angle:
2θ (°), d [Å], Rel. int., h k l
11.5, 7.691, 32.3, 0 0 1
17.4, 5.102, 100.0, 1 0 1
25.4, 3.504, 46.6, 1 1 1
26.1, 3.409, 60.6, 2 0 0
28.6, 3.117, 27.1, 2 0 1
35.2, 2.551, 63.9, 2 0 2

Structure:
Cell lengths 7.8734, 7.8734, 7.6914 Å; angles 90.00, 90.00, 120.00 degrees
Space group P-31m (No. 162)
Inequivalent atoms, fractional coordinates:
1 In 0.0000 0.0000 0.0000 x1
2 Ag 0.0000 0.5000 0.5000 x3
3 C 0.0000 0.2345 0.8160 x6
4 N 0.0000 0.3372 0.7062 x6

---

(2)
# MgMn6C3
Theoretical powder X-ray diffraction pattern, a wavelength of 1.5418 Å. Input: DFT lattice parameters and positions (PBE).
Kinematic intensities with the Lorentz-polarization factor, no thermal factor.

Top 6 peaks for 2θ from 10° to 90°, by angle:
2θ (°), d [Å], Rel. int., h k l
34.6, 2.589, 43.9, 1 1 0
39.6, 2.273, 57.2, 0 0 6
40.1, 2.250, 100.0, 1 1 3
40.8, 2.213, 51.6, 0 2 1
42.4, 2.130, 35.1, 2 0 2
53.7, 1.708, 37.0, 2 -1 6

Structure:
Cell lengths 5.1788, 5.1788, 13.6389 Å; angles 90.00, 90.00, 120.00 degrees
Space group R3 (No. 146, hexagonal axes)
Inequivalent atoms, fractional coordinates:
1 Mg 0.0000 0.0000 0.0000 x3
2 Mn 0.0033 0.3517 0.8373 x9
3 Mn 0.1456 0.8076 0.3429 x9
4 C 0.0000 0.0000 0.2499 x3
5 C 0.0000 0.0000 0.5775 x3
6 C 0.0000 0.0000 0.7783 x3

---

(3)
# TbHoMg17
Theoretical powder X-ray diffraction pattern, a wavelength of 1.5418 Å. Input: DFT lattice parameters and positions (PBE).
Kinematic intensities with the Lorentz-polarization factor, no thermal factor.

Top 6 peaks for 2θ from 10° to 90°, by angle:
2θ (°), d [Å], Rel. int., h k l
15.4, 5.769, 19.5, 0 1 2
17.4, 5.105, 32.1, 1 1 0
24.7, 3.599, 55.5, 1 1 3
30.3, 2.947, 34.1, 3 0 0
35.2, 2.550, 100.0, 2 2 0
35.8, 2.509, 21.4, 2 0 5

Structure:
Cell lengths 10.2097, 10.2097, 15.2241 Å; angles 90.00, 90.00, 120.00 degrees
Space group R3m (No. 160, hexagonal axes)
Inequivalent atoms, fractional coordinates:
1 Tb 0.0000 0.0000 0.0000 x3
2 Ho 0.0000 0.0000 0.3435 x3
3 Mg 0.0000 0.0000 0.5720 x3
4 Mg 0.0000 0.0000 0.7707 x3
5 Mg 0.9995 0.3040 0.6715 x18
6 Mg 0.0083 0.5041 0.8224 x9
7 Mg 0.1671 0.3342 0.5051 x9
8 Mg 0.1715 0.3430 0.8538 x9